Diffraction record for Pr3Ge2Pd7. The X-ray diffraction stick pattern is computed, not measured: it uses DFT lattice parameters and positions (GGA-PBE) and Cu Kα (weighted mean of Kα1 and Kα2).
Peak positions follow from Bragg's law for the DFT cell and can differ from measured ones.

Largest 8 diffraction maxima, in order of falling intensity, 2θ = 5–70°:
hkl  two_theta  d (Å)  I/Imax
1 5 1  34.01  2.636  100.0
1 7 1  37.31  2.410  44.5
2 0 0  41.24  2.189  33.3
1 11 1  46.00  1.973  28.0
0 0 2  45.29  2.002  25.4
0 10 0  30.66  2.916  20.2
0 2 0  6.06  14.580  19.6
2 0 2  62.91  1.477  18.8

Unit cell a=4.3777 b=29.1598 c=4.0045 alpha=90.00 beta=90.00 gamma=90.00
Space group Cmmm (No. 65)
Asymmetric unit:
Pr 0.0000 0.0000 0.0000 x2
Pr 0.0000 0.2004 0.0000 x4
Ge 0.0000 0.4176 0.5000 x4
Pd 0.0000 0.1243 0.5000 x4
Pd 0.0000 0.2892 0.5000 x4
Pd 0.0000 0.3682 0.0000 x4
Pd 0.0000 0.5000 0.5000 x2